Diffraction record for K2ReSnN4. The X-ray diffraction stick pattern is theoretical, not measured: it uses a structure optimized by DFT (GGA-PBE) and λ = 1.5418 Å (Cu Kα).
No peak broadening, texture or thermal motion is included.

Most intense lines, 2θ from 10° to 80°, in order of rising 2θ:
| 2θ/deg | I/Imax | h k l |
| --- | --- | --- |
| 12.11 | 67 | 0 1 0 |
| 19.01 | 73 | 0 1 1 |
| 28.21 | 49 | 2 1 0 |
| 28.51 | 84 | 0 2 1 |
| 29.43 | 53 | 0 0 2 |
| 31.91 | 100 | 2 1 1 |
| 38.54 | 43 | 2 2 1 |
| 45.32 | 30 | 2 3 0 |
| 53.78 | 27 | 2 1 3 |
| 54.96 | 33 | 2 3 2 |

Structure:
a b c (Å): 7.018 7.308 6.070
angles (deg): 90.00 90.00 90.00
Atoms (fractional coordinates):
K1 0.248 0.170 0.000
K2 0.252 0.830 0.500
K3 0.748 0.830 0.500
K4 0.752 0.170 0.000
Re1 0.000 0.651 0.979
Re2 0.500 0.349 0.479
Sn1 0.000 0.355 0.488
Sn2 0.500 0.645 0.988
N1 0.000 0.443 0.147
N2 0.000 0.594 0.685
N3 0.216 0.793 0.034
N4 0.284 0.207 0.534
N5 0.500 0.406 0.185
N6 0.500 0.557 0.647
N7 0.716 0.207 0.534
N8 0.784 0.793 0.034